[1]
Diffraction record for HoBO3. The powder X-ray diffraction pattern is calculated, not measured: it uses a DFT-relaxed cell (GGA-PBE, the Materials Project) and Cu Kα (λ = 1.5418 Å).

Most intense lines, 2θ = 10–80°, in order of rising 2θ:
| Position (°2θ) | d [Å] | I (rel.) |
| --- | --- | --- |
| 20.1 | 4.422 | 53.9 |
| 27.1 | 3.290 | 87.4 |
| 34.0 | 2.639 | 100.0 |
| 47.9 | 1.899 | 30.1 |
| 49.7 | 1.835 | 48.0 |
| 52.4 | 1.745 | 35.3 |

Structure:
Cell: 6.5814 6.5814 8.8442 Å, 90.00 90.00 59.94°
Positions (direct):
Ho1 0.0000 0.0000 0.0000
Ho2 0.0000 0.0000 0.5000
Ho3 0.3288 0.3288 0.0000
Ho4 0.3288 0.3288 0.5000
Ho5 0.6712 0.6712 0.0000
Ho6 0.6712 0.6712 0.5000
B1 0.0932 0.6662 0.2500
B2 0.3338 0.9068 0.2500
B3 0.4242 0.5758 0.7500
B4 0.5758 0.4242 0.2500
B5 0.6662 0.0932 0.7500
B6 0.9068 0.3338 0.7500
O1 0.0165 0.3332 0.6072
O2 0.0165 0.3332 0.8928
O3 0.1166 0.8834 0.2500
O4 0.3160 0.6840 0.6056
O5 0.3160 0.6840 0.8944
O6 0.3332 0.0165 0.1072
O7 0.3332 0.0165 0.3928
O8 0.3339 0.4481 0.2500
O9 0.4481 0.3339 0.7500
O10 0.5519 0.6661 0.2500
O11 0.6661 0.5519 0.7500
O12 0.6668 0.9835 0.6072
O13 0.6668 0.9835 0.8928
O14 0.6840 0.3160 0.1056
O15 0.6840 0.3160 0.3944
O16 0.8834 0.1166 0.7500
O17 0.9835 0.6668 0.1072
O18 0.9835 0.6668 0.3928



[2]
Diffraction record for Al2TeSO9. The powder X-ray diffraction pattern is calculated, not measured: it uses a DFT-relaxed cell (GGA-PBE, the Materials Project) and Cu Kα (λ = 1.5418 Å).

Most intense lines, 2θ = 10–80°, in order of rising 2θ:
| Position (°2θ) | d [Å] | I (rel.) |
| --- | --- | --- |
| 12.3 | 7.223 | 100.0 |
| 18.6 | 4.767 | 48.5 |
| 22.1 | 4.018 | 73.7 |
| 23.0 | 3.874 | 48.5 |
| 26.4 | 3.377 | 53.6 |
| 29.1 | 3.072 | 34.4 |

Structure:
Cell: 5.0320 9.5337 7.2350 Å, 90.00 93.28 90.00°
Positions (direct):
Al1 0.2460 0.0732 0.0640
Al2 0.2460 0.4268 0.0640
Al3 0.7540 0.5732 0.9360
Al4 0.7540 0.9268 0.9360
Te1 0.3450 0.7500 0.1604
Te2 0.6550 0.2500 0.8396
S1 0.0424 0.2500 0.3955
S2 0.9576 0.7500 0.6045
O1 0.0845 0.6103 0.0598
O2 0.0845 0.8897 0.0598
O3 0.1361 0.2500 0.5921
O4 0.1434 0.1216 0.3022
O5 0.1434 0.3784 0.3022
O6 0.2497 0.7500 0.6100
O7 0.4108 0.2500 0.0415
O8 0.4523 0.0325 0.8519
O9 0.4523 0.4675 0.8519
O10 0.5477 0.5325 0.1481
O11 0.5477 0.9675 0.1481
O12 0.5892 0.7500 0.9585
O13 0.7503 0.2500 0.3900
O14 0.8566 0.6216 0.6978
O15 0.8566 0.8784 0.6978
O16 0.8639 0.7500 0.4079
O17 0.9155 0.1103 0.9402
O18 0.9155 0.3897 0.9402



[3]
Diffraction record for ThB2Pt2C. The powder X-ray diffraction pattern is calculated, not measured: it uses a DFT-relaxed cell (GGA-PBE, the Materials Project) and Cu Kα (λ = 1.5418 Å).

Most intense lines, 2θ = 10–80°, in order of rising 2θ:
| Position (°2θ) | d [Å] | I (rel.) |
| --- | --- | --- |
| 24.5 | 3.629 | 29.5 |
| 32.8 | 2.731 | 32.8 |
| 36.9 | 2.435 | 100.0 |
| 47.2 | 1.924 | 30.0 |
| 58.7 | 1.573 | 25.6 |
| 61.3 | 1.513 | 23.9 |

Structure:
Cell: 6.1011 6.1011 6.1011 Å, 143.24 143.24 52.96°
Positions (direct):
Th1 0.0000 0.0000 0.0000
B1 0.3632 0.3632 0.0000
B2 0.6368 0.6368 0.0000
Pt1 0.2500 0.7500 0.5000
Pt2 0.7500 0.2500 0.5000
C1 0.5000 0.5000 0.0000



[4]
Diffraction record for SiO2. The powder X-ray diffraction pattern is calculated, not measured: it uses a DFT-relaxed cell (GGA-PBE, the Materials Project) and Cu Kα (λ = 1.5418 Å).

Most intense lines, 2θ = 10–80°, in order of rising 2θ:
| Position (°2θ) | d [Å] | I (rel.) |
| --- | --- | --- |
| 27.9 | 3.197 | 70.9 |
| 34.3 | 2.612 | 100.0 |
| 45.7 | 1.983 | 29.3 |
| 46.6 | 1.951 | 58.7 |
| 60.8 | 1.522 | 33.3 |
| 61.5 | 1.507 | 55.1 |

Structure:
Cell: 4.1141 5.0812 4.5272 Å, 90.00 90.00 90.00°
Positions (direct):
Si1 0.0000 0.1523 0.2500
Si2 0.0000 0.8477 0.7500
Si3 0.5000 0.3477 0.7500
Si4 0.5000 0.6523 0.2500
O1 0.2309 0.1176 0.5800
O2 0.2309 0.8824 0.0800
O3 0.2691 0.3824 0.0800
O4 0.2691 0.6176 0.5800
O5 0.7309 0.3824 0.4200
O6 0.7309 0.6176 0.9200
O7 0.7691 0.1176 0.9200
O8 0.7691 0.8824 0.4200



[5]
Diffraction record for Li4Cu3BiP4O16. The powder X-ray diffraction pattern is calculated, not measured: it uses a DFT-relaxed cell (GGA-PBE, the Materials Project) and Cu Kα (λ = 1.5418 Å).

Most intense lines, 2θ = 10–80°, in order of rising 2θ:
| Position (°2θ) | d [Å] | I (rel.) |
| --- | --- | --- |
| 16.9 | 5.250 | 66.7 |
| 24.5 | 3.631 | 100.0 |
| 25.1 | 3.543 | 86.9 |
| 28.6 | 3.126 | 76.9 |
| 34.1 | 2.628 | 66.2 |
| 35.5 | 2.531 | 68.4 |

Structure:
Cell: 4.8215 6.2516 10.5108 Å, 90.00 92.71 90.00°
Positions (direct):
Li1 0.0000 0.2430 0.0000
Li2 0.0000 0.7570 0.0000
Li3 0.4873 0.2428 0.4599
Li4 0.4873 0.7572 0.4599
Cu1 0.4400 0.0000 0.7756
Cu2 0.5474 0.5000 0.1993
Cu3 0.9915 0.0000 0.2579
Bi1 0.9736 0.5000 0.6945
P1 0.0824 0.5000 0.3725
P2 0.4234 0.5000 0.9063
P3 0.5741 0.0000 0.0726
P4 0.8779 0.0000 0.5702
O1 0.1943 0.0000 0.5936
O2 0.2010 0.2952 0.3112
O3 0.2010 0.7048 0.3112
O4 0.2208 0.5000 0.5137
O5 0.2569 0.0000 0.0691
O6 0.2917 0.3029 0.8314
O7 0.2917 0.6971 0.8314
O8 0.3035 0.5000 0.0404
O9 0.6948 0.0000 0.9366
O10 0.7126 0.1968 0.1454
O11 0.7126 0.8032 0.1454
O12 0.7349 0.1982 0.6322
O13 0.7349 0.8018 0.6322
O14 0.7425 0.5000 0.9070
O15 0.7603 0.5000 0.3752
O16 0.7688 0.0000 0.4297



[6]
Diffraction record for Zr2CrFe3. The powder X-ray diffraction pattern is calculated, not measured: it uses a DFT-relaxed cell (GGA-PBE, the Materials Project) and Cu Kα (λ = 1.5418 Å).

Most intense lines, 2θ = 10–80°, in order of rising 2θ:
| Position (°2θ) | d [Å] | I (rel.) |
| --- | --- | --- |
| 36.1 | 2.491 | 44.9 |
| 39.5 | 2.283 | 85.8 |
| 42.6 | 2.120 | 100.0 |
| 43.4 | 2.084 | 73.7 |
| 67.1 | 1.395 | 32.5 |
| 73.2 | 1.293 | 28.0 |

Structure:
Cell: 4.9826 4.9826 8.0728 Å, 90.00 90.00 120.00°
Positions (direct):
Zr1 0.3333 0.6667 0.0627
Zr2 0.3333 0.6667 0.4373
Zr3 0.6667 0.3333 0.5627
Zr4 0.6667 0.3333 0.9373
Cr1 0.0000 0.0000 0.0000
Cr2 0.0000 0.0000 0.5000
Fe1 0.1678 0.3357 0.7500
Fe2 0.1678 0.8322 0.7500
Fe3 0.3357 0.1678 0.2500
Fe4 0.6643 0.8322 0.7500
Fe5 0.8322 0.1678 0.2500
Fe6 0.8322 0.6643 0.2500



[7]
Diffraction record for Tm2MnOs. The powder X-ray diffraction pattern is calculated, not measured: it uses a DFT-relaxed cell (GGA-PBE, the Materials Project) and Cu Kα (λ = 1.5418 Å).

Most intense lines, 2θ = 10–80°, in order of rising 2θ:
| Position (°2θ) | d [Å] | I (rel.) |
| --- | --- | --- |
| 22.5 | 3.954 | 11.7 |
| 37.1 | 2.421 | 100.0 |
| 43.8 | 2.065 | 6.5 |
| 53.5 | 1.712 | 17.5 |
| 66.9 | 1.398 | 35.6 |
| 79.1 | 1.211 | 11.2 |

Structure:
Cell: 4.8423 4.8423 4.8423 Å, 60.00 60.00 60.00°
Positions (direct):
Tm1 0.2500 0.2500 0.2500
Tm2 0.7500 0.7500 0.7500
Mn1 0.0000 0.0000 0.0000
Os1 0.5000 0.5000 0.5000



[8]
Diffraction record for FeNi2Se4. The powder X-ray diffraction pattern is calculated, not measured: it uses a DFT-relaxed cell (GGA-PBE, the Materials Project) and Cu Kα (λ = 1.5418 Å).

Most intense lines, 2θ = 10–80°, in order of rising 2θ:
| Position (°2θ) | d [Å] | I (rel.) |
| --- | --- | --- |
| 33.4 | 2.686 | 100.0 |
| 33.7 | 2.661 | 34.5 |
| 33.8 | 2.649 | 53.6 |
| 44.9 | 2.019 | 46.9 |
| 45.4 | 1.998 | 45.6 |
| 51.0 | 1.791 | 96.0 |

Structure:
Cell: 6.3194 6.3194 6.2063 Å, 118.24 118.24 32.93°
Positions (direct):
Fe1 0.0000 0.0000 0.0000
Ni1 0.2605 0.2605 0.2884
Ni2 0.7395 0.7395 0.7116
Se1 0.1148 0.1148 0.4499
Se2 0.3645 0.3645 0.0235
Se3 0.6355 0.6355 0.9765
Se4 0.8852 0.8852 0.5501



[9]
Diffraction record for LiBC2O4F2. The powder X-ray diffraction pattern is calculated, not measured: it uses a DFT-relaxed cell (GGA-PBE, the Materials Project) and Cu Kα (λ = 1.5418 Å).

Most intense lines, 2θ = 10–80°, in order of rising 2θ:
| Position (°2θ) | d [Å] | I (rel.) |
| --- | --- | --- |
| 20.8 | 4.271 | 100.0 |
| 27.3 | 3.263 | 44.0 |
| 31.5 | 2.841 | 26.9 |
| 31.7 | 2.825 | 27.0 |
| 31.8 | 2.813 | 17.8 |
| 39.2 | 2.298 | 17.9 |

Structure:
Cell: 6.6373 6.6373 6.4751 Å, 90.00 90.00 121.11°
Positions (direct):
Li1 0.0333 0.9667 0.7500
Li2 0.9667 0.0333 0.2500
B1 0.3987 0.6013 0.2500
B2 0.6013 0.3987 0.7500
C1 0.2098 0.7902 0.1320
C2 0.2098 0.7902 0.3680
C3 0.7902 0.2098 0.6320
C4 0.7902 0.2098 0.8680
O1 0.1201 0.8799 0.0304
O2 0.1201 0.8799 0.4696
O3 0.3170 0.6830 0.0647
O4 0.3170 0.6830 0.4353
O5 0.6830 0.3170 0.5647
O6 0.6830 0.3170 0.9353
O7 0.8799 0.1201 0.5304
O8 0.8799 0.1201 0.9696
F1 0.2887 0.3574 0.2500
F2 0.3574 0.2887 0.7500
F3 0.6426 0.7113 0.2500
F4 0.7113 0.6426 0.7500